Diffraction record for PmTm6S8. The X-ray diffraction stick pattern is theoretical, not measured: it uses a DFT-relaxed cell (PBE, Alexandria) and a wavelength of 1.5418 Å.
No peak broadening, texture or thermal motion is included.

```
PmTm6S8
1.0
0.0000 5.4417 5.4417
5.4417 0.0000 5.4417
5.4417 5.4417 0.0000
Pm Tm S
1 6 8
Cartesian
0.0000 0.0000 0.0000
2.7208 2.7208 0.0000
2.7208 0.0000 2.7208
5.4417 2.7208 2.7208
0.0000 2.7208 2.7208
2.7208 5.4417 2.7208
2.7208 2.7208 5.4417
2.7208 2.7208 2.7208
5.4417 5.4417 2.8187
5.4417 2.8187 5.4417
8.0646 5.4417 5.4417
2.8187 5.4417 5.4417
5.4417 8.0646 5.4417
5.4417 5.4417 8.0646
8.1625 8.1625 8.1625
```

Largest 6 diffraction maxima, in order of falling intensity, 2θ from 5° to 70°:
| Position (°2θ) | d (Å) | I (rel.) |
| --- | --- | --- |
| 32.92 | 2.721 | 100 |
| 28.41 | 3.142 | 75 |
| 47.24 | 1.924 | 71 |
| 56.05 | 1.641 | 37 |
| 58.78 | 1.571 | 25 |
| 69.04 | 1.360 | 11 |

=====

Diffraction record for BaCa2Sc. The X-ray diffraction stick pattern is theoretical, not measured: it uses a DFT-relaxed cell (PBE, Alexandria) and a wavelength of 1.5418 Å.
No peak broadening, texture or thermal motion is included.

```
BaCa2Sc
1.0
3.6824 0.0000 0.0000
0.0000 6.0030 0.0000
-1.4865 0.0000 7.1634
Ba Ca Sc
1 2 1
Cartesian
0.0000 0.0000 0.0000
0.9266 0.0000 3.7615
2.2494 3.0015 2.0216
-0.1999 3.0015 5.3908
```

Largest 6 diffraction maxima, in order of falling intensity, 2θ from 5° to 70°:
| Position (°2θ) | d (Å) | I (rel.) |
| --- | --- | --- |
| 29.03 | 3.076 | 100 |
| 29.41 | 3.037 | 96 |
| 29.77 | 3.001 | 48 |
| 29.92 | 2.986 | 47 |
| 19.29 | 4.601 | 37 |
| 52.36 | 1.747 | 36 |

=====

Diffraction record for Sm4NpBi5. The X-ray diffraction stick pattern is theoretical, not measured: it uses a DFT-relaxed cell (PBE, Alexandria) and a wavelength of 1.5418 Å.
No peak broadening, texture or thermal motion is included.

```
Sm4NpBi5
1.0
-2.2751 3.2151 11.3893
2.2751 -3.2151 11.3893
2.2751 3.2151 -11.3893
Sm Np Bi
4 1 5
Cartesian
0.0000 0.0000 2.2928
0.0000 0.0000 6.8242
0.0000 0.0000 15.9544
0.0000 0.0000 20.4858
0.0000 0.0000 11.3893
2.2751 0.0000 0.0000
2.2751 0.0000 4.5638
2.2751 0.0000 9.1409
0.0000 3.2151 2.2484
0.0000 3.2151 6.8254
```

Largest 6 diffraction maxima, in order of falling intensity, 2θ from 5° to 70°:
| Position (°2θ) | d (Å) | I (rel.) |
| --- | --- | --- |
| 27.72 | 3.218 | 100 |
| 39.61 | 2.275 | 79 |
| 49.03 | 1.858 | 29 |
| 64.76 | 1.440 | 25 |
| 57.26 | 1.609 | 14 |
| 64.83 | 1.438 | 13 |

=====

Diffraction record for Ac7SnGe3. The X-ray diffraction stick pattern is theoretical, not measured: it uses a DFT-relaxed cell (PBE, Alexandria) and a wavelength of 1.5418 Å.
No peak broadening, texture or thermal motion is included.

```
Ac7SnGe3
1.0
4.9304 -5.8232 0.0000
4.9304 5.8232 0.0000
-2.2669 0.0000 7.0795
Ac Sn Ge
7 1 3
Cartesian
0.0000 0.0000 0.0000
2.5616 2.4609 2.0347
1.5122 0.0000 5.6767
5.0323 2.4609 5.0449
2.5616 -2.4609 2.0347
6.0818 0.0000 1.4028
5.0323 -2.4609 5.0449
-1.1334 0.0000 3.5398
4.9304 2.6508 0.0000
3.7970 0.0000 3.5398
4.9304 -2.6508 0.0000
```

Largest 6 diffraction maxima, in order of falling intensity, 2θ from 5° to 70°:
| Position (°2θ) | d (Å) | I (rel.) |
| --- | --- | --- |
| 26.51 | 3.362 | 100 |
| 30.06 | 2.973 | 57 |
| 29.54 | 3.024 | 43 |
| 30.71 | 2.912 | 36 |
| 29.19 | 3.060 | 35 |
| 41.01 | 2.201 | 32 |